Record 1
Calculated X-ray diffraction stick pattern
Compound: LaSmPdI
Radiation: Cu Kα X-rays
Structure: DFT lattice parameters and positions (PBE)
Kinematic intensities with the Lorentz-polarization factor, no thermal factor.

Structure:
```
data_LaSmPdI
_chemical_formula_sum 'La1 Sm1 Pd1 I1'
_space_group_name_H-M_alt 'P 1'
_space_group_IT_number 1
_space_group_name_Hall 'P 1'
_cell_length_a 8.5404
_cell_length_b 8.5404
_cell_length_c 8.5404
_cell_angle_alpha 28.75
_cell_angle_beta 28.75
_cell_angle_gamma 28.75
loop_
_atom_site_label
_atom_site_type_symbol
_atom_site_fract_x
_atom_site_fract_y
_atom_site_fract_z
_atom_site_occupancy
La1 La 0.0000 0.0000 0.0000 1
Sm1 Sm 0.2054 0.2054 0.2054 1
Pd1 Pd 0.6007 0.6007 0.6007 1
I1 I 0.7721 0.7721 0.7721 1
```

Top 10 peaks for 10 to 80 degrees two-theta, by angle:
| 2θ (°) | d/Å | I (rel.) |
| --- | --- | --- |
| 10.8 | 8.182 | 12.6 |
| 25.3 | 3.518 | 19.8 |
| 28.3 | 3.151 | 25.2 |
| 30.4 | 2.941 | 100.0 |
| 35.4 | 2.536 | 17.3 |
| 42.6 | 2.120 | 46.7 |
| 44.4 | 2.041 | 21.1 |
| 53.3 | 1.720 | 20.5 |
| 63.2 | 1.471 | 14.6 |
| 70.5 | 1.336 | 17.5 |

Record 2
Calculated X-ray diffraction stick pattern
Compound: CsLi2YBr6
Radiation: Cu Kα X-rays
Structure: DFT lattice parameters and positions (PBE)
Kinematic intensities with the Lorentz-polarization factor, no thermal factor.

Structure:
```
data_CsLi2YBr6
_chemical_formula_sum 'Cs1 Li2 Y1 Br6'
_space_group_name_H-M_alt 'P 1'
_space_group_IT_number 1
_space_group_name_Hall 'P 1'
_cell_length_a 7.4539
_cell_length_b 7.8500
_cell_length_c 7.9842
_cell_angle_alpha 105.30
_cell_angle_beta 102.32
_cell_angle_gamma 117.35
loop_
_atom_site_label
_atom_site_type_symbol
_atom_site_fract_x
_atom_site_fract_y
_atom_site_fract_z
_atom_site_occupancy
Cs1 Cs 0.0000 0.0000 0.0000 1
Li1 Li 0.2592 0.5985 0.7321 1
Li2 Li 0.5741 0.7207 0.3293 1
Y1 Y 0.4453 0.2104 0.6440 1
Br1 Br 0.3674 0.4606 0.4640 1
Br2 Br 0.4025 0.9356 0.3174 1
Br3 Br 0.4608 0.5058 0.9665 1
Br4 Br 0.4882 0.0003 0.8643 1
Br5 Br 0.8919 0.4773 0.7567 1
Br6 Br 0.9838 0.9654 0.5209 1
```

Top 10 peaks for 10 to 80 degrees two-theta, by angle:
| 2θ (°) | d/Å | I (rel.) |
| --- | --- | --- |
| 12.5 | 7.090 | 43.5 |
| 13.6 | 6.526 | 40.1 |
| 26.2 | 3.401 | 49.9 |
| 27.3 | 3.263 | 63.0 |
| 28.2 | 3.169 | 69.7 |
| 28.5 | 3.130 | 37.7 |
| 28.8 | 3.100 | 100.0 |
| 28.9 | 3.087 | 41.4 |
| 29.3 | 3.047 | 86.9 |
| 29.8 | 2.997 | 40.8 |

Record 3
Calculated X-ray diffraction stick pattern
Compound: Tb3Th5P8
Radiation: Cu Kα X-rays
Structure: DFT lattice parameters and positions (PBE)
Kinematic intensities with the Lorentz-polarization factor, no thermal factor.

Structure:
```
data_Tb3Th5P8
_chemical_formula_sum 'Tb3 Th5 P8'
_space_group_name_H-M_alt 'P 1'
_space_group_IT_number 1
_space_group_name_Hall 'P 1'
_cell_length_a 8.1935
_cell_length_b 8.1935
_cell_length_c 8.1935
_cell_angle_alpha 60.17
_cell_angle_beta 60.17
_cell_angle_gamma 60.17
loop_
_atom_site_label
_atom_site_type_symbol
_atom_site_fract_x
_atom_site_fract_y
_atom_site_fract_z
_atom_site_occupancy
Tb1 Tb 0.0000 0.5000 0.5000 1
Tb2 Tb 0.5000 0.0000 0.5000 1
Tb3 Tb 0.5000 0.5000 0.0000 1
Th1 Th 0.0000 0.0000 0.0000 1
Th2 Th 0.0000 0.0000 0.5000 1
Th3 Th 0.0000 0.5000 0.0000 1
Th4 Th 0.5000 0.0000 0.0000 1
Th5 Th 0.5000 0.5000 0.5000 1
P1 P 0.2500 0.2500 0.7460 1
P2 P 0.2500 0.7460 0.2500 1
P3 P 0.2516 0.2516 0.2516 1
P4 P 0.2540 0.7500 0.7500 1
P5 P 0.7460 0.2500 0.2500 1
P6 P 0.7484 0.7484 0.7484 1
P7 P 0.7500 0.2540 0.7500 1
P8 P 0.7500 0.7500 0.2540 1
```

Top 10 peaks for 10 to 80 degrees two-theta, by angle:
| 2θ (°) | d/Å | I (rel.) |
| --- | --- | --- |
| 26.6 | 3.349 | 100.0 |
| 30.8 | 2.901 | 99.0 |
| 44.1 | 2.054 | 37.1 |
| 44.2 | 2.048 | 36.8 |
| 52.3 | 1.750 | 37.9 |
| 52.4 | 1.746 | 12.6 |
| 54.8 | 1.676 | 19.7 |
| 64.2 | 1.450 | 12.3 |
| 72.8 | 1.298 | 17.1 |
| 73.0 | 1.296 | 16.9 |

Record 4
Calculated X-ray diffraction stick pattern
Compound: Tc2SbCl
Radiation: Cu Kα X-rays
Structure: DFT lattice parameters and positions (PBE)
Kinematic intensities with the Lorentz-polarization factor, no thermal factor.

Structure:
```
data_Tc2SbCl
_chemical_formula_sum 'Tc2 Sb1 Cl1'
_space_group_name_H-M_alt 'P 1'
_space_group_IT_number 1
_space_group_name_Hall 'P 1'
_cell_length_a 2.9804
_cell_length_b 2.9804
_cell_length_c 9.0602
_cell_angle_alpha 90.00
_cell_angle_beta 90.00
_cell_angle_gamma 90.00
loop_
_atom_site_label
_atom_site_type_symbol
_atom_site_fract_x
_atom_site_fract_y
_atom_site_fract_z
_atom_site_occupancy
Tc1 Tc 0.0000 0.0000 0.0000 1
Tc2 Tc 0.5000 0.5000 0.1802 1
Sb1 Sb 0.5000 0.5000 0.7830 1
Cl1 Cl 0.0000 0.0000 0.3635 1
```

Top 10 peaks for 10 to 80 degrees two-theta, by angle:
| 2θ (°) | d/Å | I (rel.) |
| --- | --- | --- |
| 19.6 | 4.530 | 9.8 |
| 36.1 | 2.490 | 100.0 |
| 42.6 | 2.121 | 73.5 |
| 42.9 | 2.107 | 50.1 |
| 44.1 | 2.053 | 15.5 |
| 50.4 | 1.812 | 13.8 |
| 62.3 | 1.490 | 16.0 |
| 68.3 | 1.374 | 21.6 |
| 74.2 | 1.279 | 23.2 |
| 78.4 | 1.219 | 23.3 |

Record 5
Calculated X-ray diffraction stick pattern
Compound: Tb3Dy3Y4
Radiation: Cu Kα X-rays
Structure: DFT lattice parameters and positions (PBE)
Kinematic intensities with the Lorentz-polarization factor, no thermal factor.

Structure:
```
data_Tb3Dy3Y4
_chemical_formula_sum 'Tb3 Dy3 Y4'
_space_group_name_H-M_alt 'P 1'
_space_group_IT_number 1
_space_group_name_Hall 'P 1'
_cell_length_a 3.6919
_cell_length_b 9.3757
_cell_length_c 9.3757
_cell_angle_alpha 89.98
_cell_angle_beta 90.00
_cell_angle_gamma 90.00
loop_
_atom_site_label
_atom_site_type_symbol
_atom_site_fract_x
_atom_site_fract_y
_atom_site_fract_z
_atom_site_occupancy
Tb1 Tb 0.0000 0.0000 0.0000 1
Tb2 Tb 0.0000 0.4997 0.8452 1
Tb3 Tb 0.0000 0.8452 0.4997 1
Dy1 Dy 0.0000 0.3453 0.3453 1
Dy2 Dy 0.5000 0.1730 0.6718 1
Dy3 Dy 0.5000 0.6718 0.1730 1
Y1 Y 0.5000 0.0469 0.2989 1
Y2 Y 0.5000 0.2989 0.0469 1
Y3 Y 0.5000 0.5463 0.5463 1
Y4 Y 0.5000 0.7987 0.7987 1
```

Top 10 peaks for 10 to 80 degrees two-theta, by angle:
| 2θ (°) | d/Å | I (rel.) |
| --- | --- | --- |
| 26.9 | 3.315 | 21.0 |
| 30.1 | 2.965 | 73.5 |
| 30.8 | 2.900 | 49.1 |
| 32.3 | 2.771 | 100.0 |
| 39.6 | 2.274 | 14.6 |
| 46.9 | 1.936 | 19.1 |
| 48.0 | 1.896 | 18.5 |
| 55.9 | 1.646 | 19.1 |
| 58.6 | 1.575 | 15.1 |
| 58.9 | 1.567 | 21.8 |

Record 6
Calculated X-ray diffraction stick pattern
Compound: La2Tb3Er6
Radiation: Cu Kα X-rays
Structure: DFT lattice parameters and positions (PBE)
Kinematic intensities with the Lorentz-polarization factor, no thermal factor.

Structure:
```
data_La2Tb3Er6
_chemical_formula_sum 'La2 Tb3 Er6'
_space_group_name_H-M_alt 'P 1'
_space_group_IT_number 1
_space_group_name_Hall 'P 1'
_cell_length_a 6.0996
_cell_length_b 6.0996
_cell_length_c 11.7580
_cell_angle_alpha 94.97
_cell_angle_beta 94.97
_cell_angle_gamma 120.05
loop_
_atom_site_label
_atom_site_type_symbol
_atom_site_fract_x
_atom_site_fract_y
_atom_site_fract_z
_atom_site_occupancy
La1 La 0.1672 0.8328 0.0000 1
La2 La 0.8328 0.1672 0.0000 1
Tb1 Tb 0.0000 0.0000 0.5000 1
Tb2 Tb 0.3351 0.6649 0.5000 1
Tb3 Tb 0.6649 0.3351 0.5000 1
Er1 Er 0.0817 0.4149 0.7448 1
Er2 Er 0.2519 0.2519 0.2553 1
Er3 Er 0.4149 0.0817 0.7448 1
Er4 Er 0.5851 0.9183 0.2552 1
Er5 Er 0.7481 0.7481 0.7447 1
Er6 Er 0.9183 0.5851 0.2552 1
```

Top 10 peaks for 10 to 80 degrees two-theta, by angle:
| 2θ (°) | d/Å | I (rel.) |
| --- | --- | --- |
| 30.9 | 2.895 | 34.0 |
| 31.1 | 2.877 | 100.0 |
| 36.0 | 2.495 | 67.5 |
| 51.7 | 1.769 | 23.8 |
| 51.9 | 1.760 | 23.9 |
| 61.4 | 1.509 | 14.0 |
| 61.7 | 1.504 | 28.3 |
| 61.8 | 1.502 | 14.2 |
| 64.8 | 1.438 | 12.2 |
| 76.3 | 1.248 | 7.5 |